Entry 1:
Starting from a crystal structure in OQMD, relaxed with GGA-PBE, the powder XRD pattern of PrGa8Co2 was simulated for Cu Kα.

Crystal structure
abc: 12.424 14.363 4.044
angles: 90.00 90.00 90.00
Space group Pbam (No. 55)
One atom of each set of equivalent atoms:
Pr: 0.158 0.180 0.000 (multiplicity 4)
Ga: 0.000 0.000 0.000 (multiplicity 2)
Ga: 0.000 0.500 0.500 (multiplicity 2)
Ga: 0.023 0.867 0.500 (multiplicity 4)
Ga: 0.050 0.320 0.500 (multiplicity 4)
Ga: 0.098 0.746 0.000 (multiplicity 4)
Ga: 0.160 0.455 0.000 (multiplicity 4)
Ga: 0.163 0.620 0.500 (multiplicity 4)
Ga: 0.169 0.009 0.500 (multiplicity 4)
Ga: 0.238 0.825 0.500 (multiplicity 4)
Co: 0.035 0.594 0.000 (multiplicity 4)
Co: 0.153 0.903 0.000 (multiplicity 4)

Main lines, by angle (2θ = 10–90°):
d = 2.625 Å, 2θ 34.16, I = 75, (1 4 1); d = 2.476 Å, 2θ 36.28, I = 100, (3 3 1); d = 2.463 Å, 2θ 36.47, I = 28, (4 0 1); d = 2.428 Å, 2θ 37.03, I = 38, (4 1 1); d = 2.043 Å, 2θ 44.33, I = 29, (5 4 0); d = 2.039 Å, 2θ 44.44, I = 30, (3 5 1); d = 2.031 Å, 2θ 44.62, I = 29, (5 2 1); d = 2.022 Å, 2θ 44.82, I = 66, (0 0 2); d = 1.948 Å, 2θ 46.62, I = 32, (2 7 0); d = 1.403 Å, 2θ 66.66, I = 21, (2 7 2); d = 1.286 Å, 2θ 73.66, I = 20, (6 8 1); d = 1.238 Å, 2θ 77.01, I = 20, (8 7 0)



Entry 2:
Starting from a crystal structure in OQMD, relaxed with GGA-PBE, the powder XRD pattern of YGaCoPt was simulated for Cu Kα.

Crystal structure
abc: 6.479 6.479 6.479
angles: 90.00 90.00 90.00
Space group F-43m (No. 216)
One atom of each set of equivalent atoms:
Y: 0.000 0.000 0.000 (multiplicity 4)
Ga: 0.000 0.000 0.500 (multiplicity 4)
Co: 0.250 0.250 0.750 (multiplicity 4)
Pt: 0.250 0.250 0.250 (multiplicity 4)

Main lines, by angle (2θ = 10–90°):
d = 3.741 Å, 2θ 23.79, I = 23, (1 1 1); d = 3.240 Å, 2θ 27.53, I = 6, (2 0 0); d = 2.291 Å, 2θ 39.33, I = 100, (2 2 0); d = 1.954 Å, 2θ 46.48, I = 13, (3 1 1); d = 1.870 Å, 2θ 48.68, I = 2, (2 2 2); d = 1.620 Å, 2θ 56.84, I = 17, (4 0 0); d = 1.486 Å, 2θ 62.48, I = 5, (3 3 1); d = 1.449 Å, 2θ 64.30, I = 2, (4 2 0); d = 1.323 Å, 2θ 71.31, I = 34, (4 2 2); d = 1.247 Å, 2θ 76.38, I = 4, (5 1 1); d = 1.145 Å, 2θ 84.61, I = 11, (4 4 0); d = 1.095 Å, 2θ 89.48, I = 5, (5 3 1)



Entry 3:
Starting from a crystal structure in OQMD, relaxed with GGA-PBE, the powder XRD pattern of Ga2CoS4 was simulated for Cu Kα.

Crystal structure
abc: 7.047 7.047 10.014
angles: 90.00 90.00 90.00
Space group P4_122 (No. 91)
One atom of each set of equivalent atoms:
Ga: 0.000 0.258 0.000 (multiplicity 4)
Ga: 0.255 0.255 0.375 (multiplicity 4)
Co: 0.252 0.500 0.750 (multiplicity 4)
S: 0.028 0.265 0.753 (multiplicity 8)
S: 0.267 0.481 0.979 (multiplicity 8)

Main lines, by angle (2θ = 10–90°):
d = 5.763 Å, 2θ 15.38, I = 20, (1 0 1); d = 3.529 Å, 2θ 25.24, I = 49, (1 1 2); d = 3.017 Å, 2θ 29.61, I = 50, (1 0 3); d = 3.006 Å, 2θ 29.72, I = 100, (2 1 1); d = 2.503 Å, 2θ 35.87, I = 19, (0 0 4); d = 2.492 Å, 2θ 36.05, I = 38, (2 2 0); d = 2.036 Å, 2θ 44.50, I = 12, (3 1 2); d = 1.926 Å, 2θ 47.18, I = 23, (1 0 5); d = 1.919 Å, 2θ 47.38, I = 52, (3 2 1); d = 1.766 Å, 2θ 51.77, I = 78, (2 2 4); d = 1.762 Å, 2θ 51.90, I = 38, (4 0 0); d = 1.298 Å, 2θ 72.86, I = 13, (5 0 3)